# 1
# KScBi2
Computed X-ray diffraction stick pattern, Cu Kα X-rays. Input: a cell relaxed with PBE.

Structure:
Unit cell a=8.151 b=8.151 c=8.151 alpha=33.27 beta=33.27 gamma=33.27
Atoms (fractional coordinates):
K 0.000 0.000 0.000
Sc 0.500 0.500 0.500
Bi 0.225 0.225 0.225
Bi 0.775 0.775 0.775

Peak list (10 most intense, 15° ≤ 2θ ≤ 90°, by angle)
- 2θ = 23.32°, d 3.814, rel. 72
- 2θ = 26.93°, d 3.310, rel. 100
- 2θ = 29.37°, d 3.041, rel. 36
- 2θ = 34.99°, d 2.564, rel. 15
- 2θ = 35.13°, d 2.555, rel. 38
- 2θ = 38.59°, d 2.333, rel. 54
- 2θ = 47.69°, d 1.907, rel. 21
- 2θ = 48.91°, d 1.862, rel. 19
- 2θ = 53.09°, d 1.725, rel. 41
- 2θ = 62.94°, d 1.477, rel. 18

# 2
# Ba3SrMg8
Computed X-ray diffraction stick pattern, Cu Kα X-rays. Input: a cell relaxed with PBE.

Structure:
Unit cell a=11.388 b=11.388 c=11.388 alpha=33.58 beta=33.58 gamma=33.58
Atoms (fractional coordinates):
Ba 0.000 0.000 0.000
Ba 0.125 0.125 0.125
Ba 0.501 0.501 0.501
Sr 0.625 0.625 0.625
Mg 0.060 0.563 0.563
Mg 0.063 0.063 0.566
Mg 0.063 0.566 0.063
Mg 0.313 0.313 0.313
Mg 0.563 0.060 0.563
Mg 0.563 0.563 0.060
Mg 0.566 0.063 0.063
Mg 0.813 0.813 0.813

Peak list (10 most intense, 15° ≤ 2θ ≤ 90°, by angle)
- 2θ = 16.51°, d 5.370, rel. 46
- 2θ = 27.11°, d 3.289, rel. 89
- 2θ = 31.91°, d 2.805, rel. 100
- 2θ = 42.35°, d 2.134, rel. 13
- 2θ = 47.91°, d 1.899, rel. 37
- 2θ = 51.02°, d 1.790, rel. 35
- 2θ = 55.92°, d 1.644, rel. 23
- 2θ = 63.22°, d 1.471, rel. 16
- 2θ = 76.66°, d 1.243, rel. 19
- 2θ = 79.08°, d 1.211, rel. 21